Structure and computed XRD peak list of Pr4YEr2Sc (the GGA-PBE geometry in Alexandria; copper Kα).
Neutral-atom scattering factors, no anomalous dispersion.

The 6 most intense peaks (10° ≤ 2θ ≤ 90°), in order of rising 2θ:
| Position (°2θ) | I (rel.) |
| --- | --- |
| 30.54 | 100 |
| 34.89 | 35 |
| 36.42 | 15 |
| 51.33 | 23 |
| 59.83 | 15 |
| 59.94 | 15 |

Structural model:
```
data_Pr4YEr2Sc
_symmetry_space_group_name_H-M 'P m m m'
_symmetry_Int_Tables_number 47
_cell_length_a 5.137
_cell_length_b 5.149
_cell_length_c 9.867
_cell_angle_alpha 90.00
_cell_angle_beta 90.00
_cell_angle_gamma 90.00
loop_
_symmetry_equiv_pos_as_xyz
'x,y,z'
'-x,-y,-z'
'-x,-y,z'
'x,y,-z'
'x,-y,-z'
'-x,y,z'
'-x,y,-z'
'x,-y,z'
loop_
_atom_site_label
_atom_site_type_symbol
_atom_site_fract_x
_atom_site_fract_y
_atom_site_fract_z
_atom_site_occupancy
Pr1 Pr 0.000 0.000 0.244 1
Pr2 Pr 0.500 0.500 0.244 1
Y1 Y 0.000 0.500 0.500 1
Er1 Er 0.000 0.500 0.000 1
Er2 Er 0.500 0.000 0.500 1
Sc1 Sc 0.500 0.000 0.000 1
```

***

Structure and computed XRD peak list of PrYEr2Sc2 (the GGA-PBE geometry in Alexandria; copper Kα).
Neutral-atom scattering factors, no anomalous dispersion.

The 6 most intense peaks (10° ≤ 2θ ≤ 90°), in order of rising 2θ:
| Position (°2θ) | I (rel.) |
| --- | --- |
| 22.83 | 52 |
| 32.40 | 100 |
| 32.56 | 72 |
| 32.68 | 35 |
| 58.00 | 31 |
| 64.55 | 29 |

Structural model:
```
data_PrYEr2Sc2
_symmetry_space_group_name_H-M 'P n n m'
_symmetry_Int_Tables_number 58
_cell_length_a 6.788
_cell_length_b 9.538
_cell_length_c 5.480
_cell_angle_alpha 90.00
_cell_angle_beta 90.00
_cell_angle_gamma 90.00
loop_
_symmetry_equiv_pos_as_xyz
'x,y,z'
'-x,-y,-z'
'-x,-y,z'
'x,y,-z'
'x+1/2,-y+1/2,-z+1/2'
'-x+1/2,y+1/2,z+1/2'
'-x+1/2,y+1/2,-z+1/2'
'x+1/2,-y+1/2,z+1/2'
loop_
_atom_site_label
_atom_site_type_symbol
_atom_site_fract_x
_atom_site_fract_y
_atom_site_fract_z
_atom_site_occupancy
Pr1 Pr 0.000 0.000 0.000 1
Y1 Y 0.000 0.500 0.500 1
Er1 Er 0.247 0.333 0.000 1
Sc1 Sc 0.250 0.167 0.500 1
```